The following is a simulated X-ray diffraction stick pattern of PmHo2Er2Tm. It was derived from a DFT-relaxed cell (PBE, Alexandria), using Cu Ka.
Peak positions follow from Bragg's law for the DFT cell and can differ from measured ones.

Structure:
Lattice parameters (Å, degrees): 6.901 9.690 5.572 90.00 90.00 90.00
Fractional positions:
Pm  0.000  0.000  0.000
Pm  0.500  0.500  0.500
Ho  0.248  0.333  0.000
Ho  0.252  0.833  0.500
Ho  0.748  0.167  0.500
Ho  0.752  0.667  0.000
Er  0.249  0.666  0.000
Er  0.251  0.166  0.500
Er  0.749  0.834  0.500
Er  0.751  0.334  0.000
Tm  0.000  0.500  0.500
Tm  0.500  0.000  0.000

Principal peaks in the range 2θ from 5° to 70°, sorted by position:
two_theta, Rel. int.
31.86, 100
32.03, 75
32.13, 37
41.62, 14
45.76, 12
45.87, 24
53.09, 9
56.99, 33
57.17, 27
63.38, 32